The following is a simulated powder X-ray diffraction pattern of Li2Pd4Au3. It was derived from a PBE-relaxed structure, using Cu Kα, 1.54184 Å.

Crystal structure
```
Li2Pd4Au3
1.0
4.4762 -1.9977 0.0000
4.4762 1.9977 0.0000
-2.7627 0.0000 7.9393
Li Pd Au
2 4 3
direct
0.1639 0.1639 0.2178
0.8361 0.8361 0.7822
0.1670 0.1670 0.8920
0.4968 0.4968 0.3306
0.5032 0.5032 0.6694
0.8330 0.8330 0.1080
0.1696 0.1696 0.5597
0.5000 0.5000 0.0000
0.8304 0.8304 0.4403
```

Peak list (10 most intense, 2θ = 5–70°, most intense first)
- 39.11 deg, intensity 100
- 39.28 deg, intensity 99
- 25.62 deg, intensity 48
- 45.26 deg, intensity 33
- 45.40 deg, intensity 33
- 22.40 deg, intensity 32
- 46.06 deg, intensity 31
- 26.96 deg, intensity 24
- 66.04 deg, intensity 21
- 66.67 deg, intensity 21